Structure and calculated XRD peak list of LaEuCuSi (the GGA-PBE geometry in Alexandria; Cu Kα).

Crystal structure
Lattice parameters (Å, degrees): 7.339 7.339 7.339 90.00 90.00 90.00
Space group F-43m (No. 216)
Symmetry-distinct sites (fractional):
La (0.000, 0.000, 0.000) [4 per cell]
Eu (0.000, 0.000, 0.500) [4 per cell]
Cu (0.250, 0.250, 0.250) [4 per cell]
Si (0.250, 0.250, 0.750) [4 per cell]

The 10 most intense peaks (15° ≤ 2θ ≤ 90°), low angle first:
24.3°, intensity 29.5; 34.6°, intensity 100.0; 42.7°, intensity 9.1; 49.7°, intensity 17.6; 56.0°, intensity 12.5; 61.9°, intensity 35.9; 72.9°, intensity 11.0; 78.1°, intensity 6.1; 83.3°, intensity 15.6; 88.3°, intensity 3.8



Structure and calculated XRD peak list of BaAc2Tm (the GGA-PBE geometry in Alexandria; Cu Kα).

Crystal structure
Lattice parameters (Å, degrees): 4.040 4.040 10.827 90.00 90.00 90.00
Space group P4/mmm (No. 123)
Symmetry-distinct sites (fractional):
Ba (0.000, 0.000, 0.000) [1 per cell]
Ac (0.500, 0.500, 0.288) [2 per cell]
Tm (0.000, 0.000, 0.500) [1 per cell]

The 10 most intense peaks (15° ≤ 2θ ≤ 90°), low angle first:
27.5°, intensity 100.0; 31.3°, intensity 41.5; 33.1°, intensity 10.0; 33.3°, intensity 13.8; 44.9°, intensity 15.6; 46.2°, intensity 15.9; 53.5°, intensity 32.6; 56.9°, intensity 8.6; 74.2°, intensity 10.5; 89.3°, intensity 8.2



Structure and calculated XRD peak list of Tm5Rh2 (the GGA-PBE geometry in Alexandria; Cu Kα).

Crystal structure
Lattice parameters (Å, degrees): 15.756 6.330 7.088 90.00 97.25 90.00
Space group C2/c (No. 15)
Symmetry-distinct sites (fractional):
Tm (0.000, 0.075, 0.250) [4 per cell]
Tm (0.094, 0.386, 0.918) [8 per cell]
Tm (0.219, 0.071, 0.313) [8 per cell]
Rh (0.111, 0.210, 0.573) [8 per cell]

The 10 most intense peaks (15° ≤ 2θ ≤ 90°), low angle first:
29.0°, intensity 28.6; 31.0°, intensity 51.5; 32.0°, intensity 100.0; 32.1°, intensity 31.7; 33.7°, intensity 31.3; 35.5°, intensity 29.5; 35.8°, intensity 28.2; 36.5°, intensity 45.7; 40.8°, intensity 28.5; 53.7°, intensity 27.9



Structure and calculated XRD peak list of LaSmAsO (the GGA-PBE geometry in Alexandria; Cu Kα).

Crystal structure
Lattice parameters (Å, degrees): 4.486 4.486 9.392 90.00 90.00 90.00
Space group P4/nmm (No. 129, origin choice 2)
Symmetry-distinct sites (fractional):
La (0.250, 0.250, 0.107) [2 per cell]
Sm (0.250, 0.750, 0.500) [2 per cell]
As (0.250, 0.250, 0.701) [2 per cell]
O (0.250, 0.750, 0.000) [2 per cell]

The 10 most intense peaks (15° ≤ 2θ ≤ 90°), low angle first:
18.9°, intensity 29.6; 27.5°, intensity 84.4; 29.7°, intensity 100.0; 34.1°, intensity 59.8; 34.9°, intensity 40.3; 40.2°, intensity 68.8; 48.2°, intensity 39.2; 49.4°, intensity 33.4; 64.7°, intensity 28.0; 66.7°, intensity 31.6



Structure and calculated XRD peak list of Er4GaSn2 (the GGA-PBE geometry in Alexandria; Cu Kα).

Crystal structure
Lattice parameters (Å, degrees): 11.299 4.658 8.740 90.00 124.58 90.00
Space group C2/m (No. 12)
Symmetry-distinct sites (fractional):
Er (0.080, 0.000, 0.377) [4 per cell]
Er (0.171, 0.500, 0.056) [4 per cell]
Ga (0.000, 0.000, 0.000) [2 per cell]
Sn (0.156, 0.500, 0.668) [4 per cell]

The 10 most intense peaks (15° ≤ 2θ ≤ 90°), low angle first:
27.3°, intensity 56.2; 28.4°, intensity 75.1; 30.8°, intensity 100.0; 31.8°, intensity 39.9; 34.8°, intensity 81.4; 36.9°, intensity 48.1; 37.2°, intensity 88.3; 37.5°, intensity 37.7; 38.7°, intensity 76.2; 52.5°, intensity 26.7



Structure and calculated XRD peak list of K4Ba2SnBi4 (the GGA-PBE geometry in Alexandria; Cu Kα).

Crystal structure
Lattice parameters (Å, degrees): 19.904 11.590 8.492 90.00 91.28 90.00
Space group Cm (No. 8)
Symmetry-distinct sites (fractional):
K (0.000, 0.000, 0.000) [2 per cell]
K (0.072, 0.217, 0.459) [4 per cell]
K (0.222, 0.215, 0.972) [4 per cell]
K (0.299, 0.000, 0.441) [2 per cell]
K (0.387, 0.285, 0.273) [4 per cell]
Ba (0.132, 0.500, 0.775) [2 per cell]
Ba (0.170, 0.500, 0.274) [2 per cell]
Ba (0.408, 0.225, 0.773) [4 per cell]
Sn (0.314, 0.500, 0.645) [2 per cell]
Sn (0.481, 0.000, 0.150) [2 per cell]
Bi (0.054, 0.293, 0.038) [4 per cell]
Bi (0.242, 0.286, 0.544) [4 per cell]
Bi (0.310, 0.500, 0.996) [2 per cell]
Bi (0.343, 0.000, 0.022) [2 per cell]
Bi (0.457, 0.500, 0.567) [2 per cell]
Bi (0.485, 0.000, 0.506) [2 per cell]

The 10 most intense peaks (15° ≤ 2θ ≤ 90°), low angle first:
20.5°, intensity 79.3; 20.7°, intensity 34.9; 20.9°, intensity 69.8; 27.4°, intensity 86.7; 27.7°, intensity 42.3; 27.9°, intensity 32.7; 28.6°, intensity 28.6; 30.9°, intensity 50.2; 31.1°, intensity 100.0; 36.7°, intensity 32.0